[1]
Theoretical powder diffractogram
Compound: Sc2CSe
Radiation: copper Kα
Structure: a structure optimized by DFT (PBE)
Lines closer than 0.1° are merged.

The 6 most intense peaks (15° ≤ 2θ ≤ 90°), sorted by position:
| Position (°2θ) | Rel. int. | index |
| --- | --- | --- |
| 19.03 | 18 | 0 1 1 |
| 31.57 | 27 | 0 1 3 |
| 34.12 | 100 | 2 0 -2 |
| 35.59 | 35 | 0 0 4 |
| 49.02 | 31 | 2 2 -2 |
| 50.11 | 23 | 0 2 4 |

Cell and atoms:
abc: 5.256 5.259 11.223
angles: 90.00 115.96 90.00
Space group P2/c (No. 13)
One atom of each set of equivalent atoms:
Sc: 0.089 0.225 0.095 (multiplicity 4)
Sc: 0.313 0.231 0.845 (multiplicity 4)
C: 0.089 0.205 0.625 (multiplicity 4)
Se: 0.382 0.270 0.375 (multiplicity 4)



[2]
Theoretical powder diffractogram
Compound: Pa4Ga7Sn6
Radiation: copper Kα
Structure: a structure optimized by DFT (PBE)
Lines closer than 0.1° are merged.

The 6 most intense peaks (15° ≤ 2θ ≤ 90°), sorted by position:
| Position (°2θ) | Rel. int. | index |
| --- | --- | --- |
| 19.44 | 13 | 2 0 0 |
| 27.63 | 32 | 2 2 0 |
| 34.02 | 100 | 2 2 2 |
| 39.48 | 57 | 4 0 0 |
| 57.06 | 33 | 4 4 0 |
| 68.12 | 31 | 6 2 2 |

Cell and atoms:
abc: 9.130 9.130 9.130
angles: 90.00 90.00 90.00
Space group Im-3m (No. 229)
One atom of each set of equivalent atoms:
Pa: 0.250 0.250 0.250 (multiplicity 8)
Ga: 0.000 0.000 0.000 (multiplicity 2)
Ga: 0.000 0.250 0.500 (multiplicity 12)
Sn: 0.000 0.000 0.297 (multiplicity 12)



[3]
Theoretical powder diffractogram
Compound: NdTm6Sc4
Radiation: copper Kα
Structure: a structure optimized by DFT (PBE)
Lines closer than 0.1° are merged.

The 6 most intense peaks (15° ≤ 2θ ≤ 90°), sorted by position:
| Position (°2θ) | Rel. int. | index |
| --- | --- | --- |
| 22.64 | 54 | 1 1 2 |
| 29.44 | 64 | 1 1 4 |
| 30.32 | 100 | 2 0 2 |
| 32.19 | 69 | 2 1 1 |
| 32.46 | 44 | 0 0 6 |
| 35.78 | 71 | 2 0 4 |

Cell and atoms:
abc: 6.309 6.309 16.550
angles: 90.00 90.00 90.00
Space group I-42m (No. 121)
One atom of each set of equivalent atoms:
Nd: 0.000 0.000 0.000 (multiplicity 2)
Tm: 0.000 0.500 0.000 (multiplicity 4)
Tm: 0.188 0.188 0.177 (multiplicity 8)
Sc: 0.176 0.176 0.371 (multiplicity 8)